Computed X-ray powder pattern
Compound: Li2MnF4
Radiation: a wavelength of 1.5418 Å
Structure: a crystal structure in the Materials Project, relaxed with GGA+U

Top 10 peaks for 2θ from 10° to 90°, sorted by position:
d 7.955, intensity 27.2; d 4.741, intensity 100.0; d 4.576, intensity 30.1; d 3.978, intensity 30.0; d 2.840, intensity 24.8; d 2.744, intensity 90.9; d 2.379, intensity 84.4; d 1.853, intensity 30.2; d 1.810, intensity 45.0; d 1.511, intensity 26.4

Atomic structure:
Lattice parameters (Å, degrees): 5.1151 10.2421 12.6298 90.00 90.00 90.00
Fractional positions:
Li  0.0000  0.0000  0.0000
Li  0.0000  0.0000  0.2797
Li  0.0000  0.0000  0.6392
Li  0.0000  0.5000  0.3668
Li  0.0068  0.2486  0.5033
Li  0.0312  0.7032  0.1571
Li  0.4688  0.2032  0.6571
Li  0.4932  0.7486  0.0033
Li  0.5000  0.0000  0.8668
Li  0.5000  0.5000  0.1392
Li  0.5000  0.5000  0.5000
Li  0.5000  0.5000  0.7797
Li  0.5068  0.2514  0.0033
Li  0.5312  0.7968  0.6571
Li  0.9688  0.2968  0.1571
Li  0.9932  0.7514  0.5033
Mn  0.0000  0.5000  0.6572
Mn  0.0000  0.5000  0.9494
Mn  0.0089  0.2256  0.8127
Mn  0.4911  0.7256  0.3127
Mn  0.5000  0.0000  0.1572
Mn  0.5000  0.0000  0.4494
Mn  0.5089  0.2744  0.3127
Mn  0.9911  0.7744  0.8127
F  0.1757  0.8382  0.6716
F  0.1934  0.6051  0.2739
F  0.1936  0.5940  0.8061
F  0.1986  0.8681  0.1889
F  0.2119  0.6047  0.5456
F  0.2284  0.8720  0.9236
F  0.2381  0.6128  0.0480
F  0.2427  0.8438  0.4178
F  0.2573  0.3438  0.9178
F  0.2619  0.1128  0.5480
F  0.2716  0.3720  0.4236
F  0.2881  0.1047  0.0456
F  0.3014  0.3681  0.6889
F  0.3064  0.0940  0.3061
F  0.3066  0.1051  0.7739
F  0.3243  0.3382  0.1716
F  0.6757  0.6618  0.1716
F  0.6934  0.8949  0.7739
F  0.6936  0.9060  0.3061
F  0.6986  0.6319  0.6889
F  0.7119  0.8953  0.0456
F  0.7284  0.6280  0.4236
F  0.7381  0.8872  0.5480
F  0.7427  0.6562  0.9178
F  0.7573  0.1562  0.4178
F  0.7619  0.3872  0.0480
F  0.7716  0.1280  0.9236
F  0.7881  0.3953  0.5456
F  0.8014  0.1319  0.1889
F  0.8064  0.4060  0.8061
F  0.8066  0.3949  0.2739
F  0.8243  0.1618  0.6716

---

Computed X-ray powder pattern
Compound: LiY3WO8
Radiation: a wavelength of 1.5418 Å
Structure: a crystal structure in the Materials Project, relaxed with GGA+U

Top 10 peaks for 2θ from 10° to 90°, sorted by position:
d 3.966, intensity 87.8; d 3.904, intensity 100.0; d 2.805, intensity 22.8; d 2.761, intensity 39.0; d 2.654, intensity 18.5; d 2.626, intensity 31.8; d 2.106, intensity 44.3; d 1.863, intensity 26.4; d 1.694, intensity 21.2; d 1.655, intensity 21.9

Atomic structure:
Lattice parameters (Å, degrees): 5.9448 5.9692 6.1873 90.00 116.80 90.00
Fractional positions:
Li  0.0000  0.0000  0.0000
Y  0.0000  0.4875  0.0000
Y  0.5000  0.2553  0.5000
Y  0.5000  0.9881  0.0000
W  0.0000  0.7542  0.5000
O  0.1564  0.7673  0.8662
O  0.1963  0.5233  0.4376
O  0.2623  0.9752  0.5662
O  0.2788  0.2178  0.1029
O  0.7212  0.2178  0.8971
O  0.7377  0.9752  0.4338
O  0.8037  0.5233  0.5624
O  0.8436  0.7673  0.1338

---

Computed X-ray powder pattern
Compound: Li2Mn3FeO8
Radiation: a wavelength of 1.5418 Å
Structure: a crystal structure in the Materials Project, relaxed with GGA+U

Top 10 peaks for 2θ from 10° to 90°, sorted by position:
d 4.853, intensity 100.0; d 2.536, intensity 35.8; d 2.529, intensity 10.9; d 2.429, intensity 8.0; d 2.101, intensity 55.6; d 1.619, intensity 15.3; d 1.488, intensity 16.8; d 1.483, intensity 16.3; d 1.423, intensity 6.9; d 1.215, intensity 6.4

Atomic structure:
Lattice parameters (Å, degrees): 5.9329 5.9329 5.9329 60.23 60.23 60.23
Fractional positions:
Li  0.1209  0.1209  0.1209
Li  0.8791  0.8791  0.8791
Mn  0.0000  0.5000  0.5000
Mn  0.5000  0.0000  0.5000
Mn  0.5000  0.5000  0.0000
Fe  0.5000  0.5000  0.5000
O  0.2590  0.2590  0.7079
O  0.2590  0.7079  0.2590
O  0.2605  0.2605  0.2605
O  0.2921  0.7410  0.7410
O  0.7079  0.2590  0.2590
O  0.7395  0.7395  0.7395
O  0.7410  0.2921  0.7410
O  0.7410  0.7410  0.2921